# 1
This entry pairs a crystal structure of KHfAg3Te4 with its theoretical powder X-ray diffraction pattern. Radiation: CuKα. Structure: the PBE geometry in OQMD.

The 10 most intense peaks (2θ = 10–80°), sorted by position:
Position (°2θ)  d [Å]  I/Imax
13.28  6.668  100
24.87  3.580  94
25.21  3.532  32
25.50  3.493  20
34.60  2.592  29
38.21  2.356  79
38.53  2.337  73
41.48  2.177  40
42.99  2.104  30
43.65  2.074  21

Unit cell a=6.6043 b=8.7077 c=10.8434 alpha=90.00 beta=107.01 gamma=90.00
Sites, in units of the cell vectors:
K 0.1873 0.2500 0.3972
K 0.8127 0.7500 0.6028
Hf 0.3554 0.7500 0.2135
Hf 0.6446 0.2500 0.7865
Ag 0.1434 0.2500 0.7907
Ag 0.2844 0.0166 0.9984
Ag 0.2844 0.4834 0.9984
Ag 0.7156 0.5166 0.0016
Ag 0.7156 0.9834 0.0016
Ag 0.8566 0.7500 0.2093
Te 0.0225 0.7500 0.9811
Te 0.2185 0.7500 0.4241
Te 0.3956 0.5109 0.7598
Te 0.3956 0.9891 0.7598
Te 0.6044 0.0109 0.2402
Te 0.6044 0.4891 0.2402
Te 0.7815 0.2500 0.5759
Te 0.9775 0.2500 0.0189

=====

# 2
This entry pairs a crystal structure of K2RbAgF5 with its theoretical powder X-ray diffraction pattern. Radiation: CuKα. Structure: the PBE geometry in OQMD.

The 10 most intense peaks (2θ = 10–80°), sorted by position:
Position (°2θ)  d [Å]  I/Imax
14.23  6.226  35
25.77  3.458  38
28.68  3.113  31
29.55  3.023  100
36.76  2.445  37
38.93  2.313  46
39.60  2.276  28
41.14  2.194  24
47.27  1.923  30
51.35  1.779  24

Unit cell a=6.9155 b=6.9155 c=6.2257 alpha=90.00 beta=90.00 gamma=90.00
Sites, in units of the cell vectors:
K 0.1612 0.3388 0.0000
K 0.3388 0.8388 0.0000
K 0.6612 0.1612 0.0000
K 0.8388 0.6612 0.0000
Rb 0.0000 0.0000 0.5000
Rb 0.5000 0.5000 0.5000
Ag 0.0000 0.5000 0.5000
Ag 0.5000 0.0000 0.5000
F 0.0000 0.0000 0.0000
F 0.1541 0.6541 0.2742
F 0.1541 0.6541 0.7258
F 0.3459 0.1541 0.2742
F 0.3459 0.1541 0.7258
F 0.5000 0.5000 0.0000
F 0.6541 0.8459 0.2742
F 0.6541 0.8459 0.7258
F 0.8459 0.3459 0.2742
F 0.8459 0.3459 0.7258

=====

# 3
This entry pairs a crystal structure of HfH8S2O12 with its theoretical powder X-ray diffraction pattern. Radiation: CuKα. Structure: the PBE geometry in OQMD.

The 10 most intense peaks (2θ = 10–80°), sorted by position:
Position (°2θ)  d [Å]  I/Imax
13.88  6.380  68
16.77  5.287  30
18.56  4.781  51
21.03  4.225  100
25.97  3.432  44
30.35  2.945  51
30.64  2.918  36
30.79  2.904  19
39.63  2.274  36
59.27  1.559  20

Unit cell a=14.0191 b=13.0376 c=6.3974 alpha=85.06 beta=67.90 gamma=27.04
Sites, in units of the cell vectors:
Hf 0.1250 0.1250 0.1250
Hf 0.8750 0.8750 0.8750
H 0.0369 0.5117 0.7513
H 0.1244 0.7600 0.3644
H 0.2001 0.7513 0.5117
H 0.2400 0.8756 0.7488
H 0.2487 0.7999 0.9631
H 0.2512 0.3644 0.7600
H 0.3644 0.2512 0.1244
H 0.4883 0.9631 0.7999
H 0.5117 0.0369 0.2001
H 0.6356 0.7488 0.8756
H 0.7488 0.6356 0.2400
H 0.7513 0.2001 0.0369
H 0.7600 0.1244 0.2512
H 0.7999 0.2487 0.4883
H 0.8756 0.2400 0.6356
H 0.9631 0.4883 0.2487
S 0.1822 0.1822 0.5678
S 0.4322 0.4322 0.8178
S 0.5678 0.5678 0.1822
S 0.8178 0.8178 0.4322
O 0.0283 0.5421 0.2599
O 0.0747 0.2209 0.4717
O 0.0869 0.5319 0.7760
O 0.1052 0.7760 0.5319
O 0.2209 0.0747 0.7327
O 0.2240 0.8948 0.9131
O 0.2599 0.6697 0.0283
O 0.2673 0.5283 0.7791
O 0.3303 0.7401 0.4579
O 0.4579 0.9717 0.3303
O 0.4681 0.9131 0.8948
O 0.4717 0.7327 0.0747
O 0.5283 0.2673 0.9253
O 0.5319 0.0869 0.1052
O 0.5421 0.0283 0.6697
O 0.6697 0.2599 0.5421
O 0.7327 0.4717 0.2209
O 0.7401 0.3303 0.9717
O 0.7760 0.1052 0.0869
O 0.7791 0.9253 0.2673
O 0.8948 0.2240 0.4681
O 0.9131 0.4681 0.2240
O 0.9253 0.7791 0.5283
O 0.9717 0.4579 0.7401